The following is a simulated XRD peak list of La2Y3Ir2. It was derived from a crystal structure in Alexandria, relaxed with PBE, using λ = 1.5418 Å (Cu Kα).
No peak broadening, texture or thermal motion is included.

Largest 8 diffraction maxima, low angle first, 10 to 90 degrees two-theta:
2θ/deg	d [Å]	I (rel.)
15.86	5.586	50
21.50	4.133	50
30.28	2.951	60
31.69	2.823	46
32.10	2.788	73
33.46	2.678	85
33.62	2.665	100
38.01	2.367	46

a = 12.4439 Å, b = 3.8540 Å, c = 9.2060 Å
α = 90.00°, β = 116.12°, γ = 90.00°
Sites, in units of the cell vectors:
La (0.1700, 0.0000, 0.3046)
La (0.3300, 0.5000, 0.6954)
La (0.6700, 0.5000, 0.3046)
La (0.8300, 0.0000, 0.6954)
Y (0.0000, 0.5000, 0.5000)
Y (0.1201, 0.5000, 0.9248)
Y (0.3799, 0.0000, 0.0752)
Y (0.5000, 0.0000, 0.5000)
Y (0.6201, 0.0000, 0.9248)
Y (0.8799, 0.5000, 0.0752)
Ir (0.1769, 0.0000, 0.7425)
Ir (0.3231, 0.5000, 0.2575)
Ir (0.6769, 0.5000, 0.7425)
Ir (0.8231, 0.0000, 0.2575)

---

The following is a simulated XRD peak list of LaYIr2. It was derived from a crystal structure in Alexandria, relaxed with PBE, using λ = 1.5418 Å (Cu Kα).
No peak broadening, texture or thermal motion is included.

Largest 8 diffraction maxima, low angle first, 10 to 90 degrees two-theta:
2θ/deg	d [Å]	I (rel.)
35.27	2.545	100
36.58	2.456	92
36.84	2.440	89
50.33	1.813	19
51.13	1.786	16
63.98	1.455	36
64.50	1.445	33
67.04	1.396	31

a = 3.3391 Å, b = 3.6260 Å, c = 7.1457 Å
α = 90.00°, β = 90.00°, γ = 90.00°
Sites, in units of the cell vectors:
La (0.0000, 0.0000, 0.0000)
Y (0.0000, 0.0000, 0.5000)
Ir (0.5000, 0.5000, 0.2645)
Ir (0.5000, 0.5000, 0.7355)